Mg6Si5: theoretical X-ray powder pattern (Cu Kα, 1.54184 Å), based on a PBE-relaxed structure.

The 12 most intense peaks (2θ from 10° to 80°), by angle:
| 2θ (°) | I/Imax |
| --- | --- |
| 31.45 | 20 |
| 32.66 | 79 |
| 33.49 | 80 |
| 34.17 | 21 |
| 34.85 | 60 |
| 35.32 | 30 |
| 36.48 | 60 |
| 39.04 | 59 |
| 41.30 | 100 |
| 43.73 | 45 |
| 43.95 | 22 |
| 44.99 | 32 |

Cell and atoms:
a b c (Å): 5.315 5.849 14.218
angles (deg): 100.38 96.95 93.99
Space group P1 (No. 1)
One atom of each set of equivalent atoms:
Mg 0.000 0.000 0.000 [1 per cell]
Mg 0.002 0.480 0.601 [1 per cell]
Mg 0.222 0.038 0.690 [1 per cell]
Mg 0.446 0.703 0.519 [1 per cell]
Mg 0.472 0.192 0.461 [1 per cell]
Mg 0.507 0.664 0.016 [1 per cell]
Mg 0.566 0.239 0.136 [1 per cell]
Mg 0.720 0.841 0.783 [1 per cell]
Mg 0.758 0.803 0.245 [1 per cell]
Mg 0.932 0.399 0.373 [1 per cell]
Mg 0.938 0.405 0.879 [1 per cell]
Mg 0.948 0.934 0.475 [1 per cell]
Si 0.070 0.228 0.195 [1 per cell]
Si 0.222 0.806 0.844 [1 per cell]
Si 0.258 0.811 0.336 [1 per cell]
Si 0.262 0.854 0.170 [1 per cell]
Si 0.425 0.442 0.821 [1 per cell]
Si 0.425 0.444 0.315 [1 per cell]
Si 0.512 0.137 0.935 [1 per cell]
Si 0.522 0.434 0.655 [1 per cell]
Si 0.719 0.078 0.635 [1 per cell]
Si 0.984 0.514 0.083 [1 per cell]